Diffraction record for TbYSiSe. The powder diffractogram is calculated, not measured: it uses a crystal structure in Alexandria, relaxed with PBE and Cu Ka.
Peak positions follow from Bragg's law for the DFT cell and can differ from measured ones.

Most intense lines, 10 to 80 degrees two-theta, by intensity:
| two_theta | I (rel.) | index |
| --- | --- | --- |
| 30.58 | 1000 | 1 0 4 |
| 44.03 | 365 | 1 1 0 |
| 43.56 | 364 | 0 1 8 |
| 26.50 | 218 | 0 1 2 |
| 54.56 | 191 | 0 2 4 |
| 72.62 | 162 | 2 1 4 |
| 71.93 | 155 | 1 1 12 |
| 63.67 | 116 | 2 0 8 |
| 25.38 | 96 | 1 0 1 |
| 12.98 | 94 | 0 0 3 |

Crystal structure
```
data_TbYSiSe
_cell_length_a 4.1128
_cell_length_b 4.1128
_cell_length_c 20.4635
_cell_angle_alpha 90.00
_cell_angle_beta 90.00
_cell_angle_gamma 120.00
_symmetry_space_group_name_H-M 'R 3 m'
_symmetry_Int_Tables_number 160
_symmetry_space_group_name_Hall 'R 3 -2"'
loop_
_atom_site_label
_atom_site_fract_x
_atom_site_fract_y
_atom_site_fract_z
Tb1 0.0000 0.0000 0.0000
Y1 0.0000 0.0000 0.4909
Si1 0.0000 0.0000 0.7456
Se1 0.0000 0.0000 0.2452
```